Record 1
Calculated PXRD pattern of LiLa2ReO6 for a wavelength of 1.5418 Å, from a structure optimized by DFT (PBE).
Kinematic intensities with the Lorentz-polarization factor, no thermal factor.

Crystal structure
Unit cell a=5.590 b=5.815 c=9.652 alpha=90.00 beta=124.83 gamma=90.00
Space group P2_1/c (No. 14)
One atom of each set of equivalent atoms:
Li (0.000, 0.000, 0.000) (multiplicity 2)
La (0.235, 0.060, 0.748) (multiplicity 4)
Re (0.500, 0.000, 0.500) (multiplicity 2)
O (0.163, 0.190, 0.454) (multiplicity 4)
O (0.264, 0.717, 0.449) (multiplicity 4)
O (0.350, 0.028, 0.258) (multiplicity 4)

Main lines, most intense first (5° ≤ 2θ ≤ 70°):
Position (°2θ), intensity, (hkl)
31.6, 1000, 1 1 1
31.8, 997, 1 1 -3
18.9, 751, 0 1 1
32.0, 509, 2 0 -2
45.0, 433, 2 2 -2
30.8, 429, 0 2 0
19.5, 405, 1 0 -2
37.4, 348, 2 1 -1
56.7, 348, 3 1 -1
45.8, 283, 0 0 4



Record 2
Calculated PXRD pattern of Mn2CuPb for a wavelength of 1.5418 Å, from a structure optimized by DFT (PBE).
Kinematic intensities with the Lorentz-polarization factor, no thermal factor.

Crystal structure
Unit cell a=3.975 b=3.975 c=4.022 alpha=90.00 beta=90.00 gamma=90.00
Space group P4/mmm (No. 123)
One atom of each set of equivalent atoms:
Mn (0.000, 0.500, 0.000) (multiplicity 2)
Cu (0.000, 0.000, 0.500) (multiplicity 1)
Pb (0.500, 0.500, 0.500) (multiplicity 1)

Main lines, most intense first (5° ≤ 2θ ≤ 70°):
Position (°2θ), intensity, (hkl)
39.1, 1000, 1 1 1
45.6, 319, 2 0 0
22.4, 247, 1 0 0
31.6, 215, 1 0 1
66.1, 204, 2 0 2
22.1, 178, 0 0 1
45.1, 165, 0 0 2
31.8, 151, 1 1 0
66.5, 100, 2 2 0
56.6, 91, 2 1 1



Record 3
Calculated PXRD pattern of Y8Ho4Sc for a wavelength of 1.5418 Å, from a structure optimized by DFT (PBE).
Kinematic intensities with the Lorentz-polarization factor, no thermal factor.

Crystal structure
Unit cell a=7.2558 b=7.2558 c=27.1467 alpha=90.00 beta=90.00 gamma=120.00
Space group R-3m (No. 166, hexagonal axes)
One atom of each set of equivalent atoms:
Y (0.0000, 0.0000, 0.2163) (multiplicity 6)
Y (0.0291, 0.5145, 0.7686) (multiplicity 18)
Ho (0.0000, 0.0000, 0.0000) (multiplicity 3)
Ho (0.0000, 0.5000, 0.0000) (multiplicity 9)
Sc (0.0000, 0.0000, 0.5000) (multiplicity 3)

Main lines, most intense first (5° ≤ 2θ ≤ 70°):
Position (°2θ), intensity, (hkl)
31.4, 1000, 0 2 4
32.9, 589, 2 0 5
28.6, 382, 0 2 1
29.6, 367, 0 0 9
39.1, 323, 2 0 8
50.3, 297, 2 2 0
59.5, 279, 2 2 9
9.8, 257, 0 0 3
52.6, 202, 0 2 13
60.5, 140, 4 0 4